1.
This entry pairs a crystal structure of Li2Mn3O4F3 with its computed powder X-ray diffraction pattern. Radiation: Cu Kα (weighted mean of Kα1 and Kα2). Structure: a GGA+U-relaxed structure.
Peak positions follow from Bragg's law for the DFT cell and can differ from measured ones.

Peak list (10 most intense, 2θ = 10–90°, in order of falling intensity)
Position (°2θ), I_rel
17.8, 100
40.4, 25
43.7, 24
41.9, 22
35.0, 18
34.7, 14
34.2, 11
61.4, 7
53.0, 7
61.0, 7

abc: 6.393 6.518 8.011
angles: 104.38 112.74 102.15
Fractional positions:
Li  0.000  0.000  0.000
Li  0.011  0.115  0.457
Li  0.500  0.533  0.847
Li  0.597  0.449  0.394
Mn  0.067  0.546  0.855
Mn  0.191  0.686  0.559
Mn  0.358  0.839  0.271
Mn  0.482  0.006  0.991
Mn  0.613  0.115  0.699
Mn  0.903  0.420  0.129
O  0.023  0.701  0.074
O  0.148  0.441  0.655
O  0.286  0.958  0.486
O  0.421  0.736  0.052
O  0.529  0.845  0.779
O  0.549  0.273  0.936
O  0.877  0.563  0.348
O  0.940  0.260  0.903
F  0.078  0.850  0.789
F  0.308  0.532  0.336
F  0.393  0.145  0.191
F  0.668  0.415  0.650
F  0.702  0.979  0.467
F  0.886  0.120  0.191

2.
This entry pairs a crystal structure of ZnNi4O5 with its computed powder X-ray diffraction pattern. Radiation: Cu Kα (weighted mean of Kα1 and Kα2). Structure: a GGA+U-relaxed structure.
Peak positions follow from Bragg's law for the DFT cell and can differ from measured ones.

Peak list (5 most intense, 2θ = 10–90°, in order of falling intensity)
Position (°2θ), I_rel
42.6, 100
36.7, 76
61.8, 58
74.1, 30
77.9, 18

abc: 12.374 12.374 12.374
angles: 13.94 13.94 13.94
Fractional positions:
Zn  0.000  0.000  0.000
Ni  0.200  0.200  0.200
Ni  0.400  0.400  0.400
Ni  0.600  0.600  0.600
Ni  0.800  0.800  0.800
O  0.100  0.100  0.100
O  0.299  0.299  0.299
O  0.500  0.500  0.500
O  0.701  0.701  0.701
O  0.900  0.900  0.900

3.
This entry pairs a crystal structure of SrMg6MnO8 with its computed powder X-ray diffraction pattern. Radiation: Cu Kα (weighted mean of Kα1 and Kα2). Structure: a GGA+U-relaxed structure.
Peak positions follow from Bragg's law for the DFT cell and can differ from measured ones.

Peak list (10 most intense, 2θ = 10–90°, in order of falling intensity)
Position (°2θ), I_rel
39.8, 100
58.5, 55
34.7, 44
41.0, 44
57.6, 30
19.6, 29
73.1, 26
28.3, 25
69.0, 15
20.2, 14

abc: 4.526 4.526 8.795
angles: 90.00 90.00 90.00
Fractional positions:
Sr  0.000  0.000  0.000
Mg  0.000  0.500  0.260
Mg  0.000  0.500  0.740
Mg  0.500  0.000  0.260
Mg  0.500  0.000  0.740
Mg  0.500  0.500  0.000
Mg  0.500  0.500  0.500
Mn  0.000  0.000  0.500
O  0.000  0.000  0.267
O  0.000  0.000  0.733
O  0.000  0.500  0.000
O  0.000  0.500  0.500
O  0.500  0.000  0.000
O  0.500  0.000  0.500
O  0.500  0.500  0.252
O  0.500  0.500  0.748